Structure and simulated powder diffraction line list of Tb2BAsRh6 (a cell relaxed with GGA-PBE; Cu Kα).

Atomic structure:
```
data_Tb2BAsRh6
_cell_length_a 4.4373
_cell_length_b 4.4373
_cell_length_c 8.6978
_cell_angle_alpha 90.00
_cell_angle_beta 90.00
_cell_angle_gamma 90.00
_space_group_name_H-M_alt 'P 4/m m m'
_space_group_IT_number 123
_space_group_name_Hall '-P 4 2'
loop_
_atom_site_label
_atom_site_type_symbol
_atom_site_fract_x
_atom_site_fract_y
_atom_site_fract_z
Tb1 Tb 0.0000 0.0000 0.2351
B1 B 0.5000 0.5000 0.0000
As1 As 0.5000 0.5000 0.5000
Rh1 Rh 0.0000 0.5000 0.0000
Rh2 Rh 0.0000 0.5000 0.5000
Rh3 Rh 0.5000 0.5000 0.2305
```

Most intense lines, 5 to 70 degrees two-theta, by angle:
(1 1 0), 2θ = 28.45°, d 3.138, I = 4; (1 0 2), 2θ = 28.74°, d 3.106, I = 8; (1 1 2), 2θ = 35.27°, d 2.545, I = 100; (2 0 0), 2θ = 40.67°, d 2.219, I = 50; (0 0 4), 2θ = 41.53°, d 2.174, I = 21; (1 1 3), 2θ = 42.45°, d 2.129, I = 4; (2 2 0), 2θ = 58.87°, d 1.569, I = 16; (2 0 4), 2θ = 59.53°, d 1.553, I = 29

=====

Structure and simulated powder diffraction line list of Tm2B2AsRh5 (a cell relaxed with GGA-PBE; Cu Kα).

Atomic structure:
```
data_Tm2B2AsRh5
_cell_length_a 9.3683
_cell_length_b 9.3683
_cell_length_c 3.2522
_cell_angle_alpha 90.00
_cell_angle_beta 90.00
_cell_angle_gamma 90.00
_space_group_name_H-M_alt 'P 4/m b m'
_space_group_IT_number 127
_space_group_name_Hall '-P 4 2ab'
loop_
_atom_site_label
_atom_site_type_symbol
_atom_site_fract_x
_atom_site_fract_y
_atom_site_fract_z
Tm1 Tm 0.1750 0.3250 0.0000
B1 B 0.1212 0.6212 0.0000
As1 As 0.0000 0.0000 0.0000
Rh1 Rh 0.0000 0.5000 0.5000
Rh2 Rh 0.0708 0.7817 0.5000
```

Most intense lines, 5 to 70 degrees two-theta, by angle:
(2 1 1), 2θ = 34.93°, d 2.569, I = 100; (2 2 1), 2θ = 38.81°, d 2.321, I = 33; (4 1 0), 2θ = 39.67°, d 2.272, I = 85; (3 3 0), 2θ = 40.87°, d 2.208, I = 22; (3 1 1), 2θ = 41.22°, d 2.190, I = 95; (4 2 0), 2θ = 43.19°, d 2.095, I = 31; (3 2 1), 2θ = 44.64°, d 2.030, I = 28; (0 0 2), 2θ = 56.60°, d 1.626, I = 22

=====

Structure and simulated powder diffraction line list of ZnBAs2Se (a cell relaxed with GGA-PBE; Cu Kα).

Atomic structure:
```
data_ZnBAs2Se
_cell_length_a 4.4688
_cell_length_b 4.4688
_cell_length_c 4.4550
_cell_angle_alpha 90.00
_cell_angle_beta 90.00
_cell_angle_gamma 90.00
_space_group_name_H-M_alt 'P 4/m m m'
_space_group_IT_number 123
_space_group_name_Hall '-P 4 2'
loop_
_atom_site_label
_atom_site_type_symbol
_atom_site_fract_x
_atom_site_fract_y
_atom_site_fract_z
Zn1 Zn 0.0000 0.0000 0.0000
B1 B 0.5000 0.5000 0.5000
As1 As 0.0000 0.5000 0.5000
Se1 Se 0.5000 0.5000 0.0000
```

Most intense lines, 5 to 70 degrees two-theta, by angle:
(1 0 0), 2θ = 19.88°, d 4.466, I = 1; (1 1 1), 2θ = 34.81°, d 2.577, I = 100; (2 0 0), 2θ = 40.37°, d 2.234, I = 37; (0 0 2), 2θ = 40.50°, d 2.227, I = 18; (2 2 0), 2θ = 58.48°, d 1.578, I = 36; (3 1 1), 2θ = 69.82°, d 1.347, I = 25

=====

Structure and simulated powder diffraction line list of SrB2As (a cell relaxed with GGA-PBE; Cu Kα).

Atomic structure:
```
data_SrB2As
_cell_length_a 4.1836
_cell_length_b 4.1836
_cell_length_c 15.6696
_cell_angle_alpha 90.00
_cell_angle_beta 90.00
_cell_angle_gamma 90.00
_space_group_name_H-M_alt 'I 41/a m d'
_space_group_IT_number 141
loop_
_space_group_symop_operation_xyz
'x,y,z'
'-x,-y,-z'
'-y+1/4,x+3/4,z+1/4'
'y+1/4,-x+3/4,-z+1/4'
'-x+1/2,-y,z+1/2'
'x+1/2,y,-z+1/2'
'y+1/4,-x+1/4,z+3/4'
'-y+1/4,x+1/4,-z+3/4'
'x,-y,-z'
'-x,y,z'
'-y+1/4,-x+1/4,-z+3/4'
'y+1/4,x+1/4,z+3/4'
'-x+1/2,y,-z+1/2'
'x+1/2,-y,z+1/2'
'y+1/4,x+3/4,-z+1/4'
'-y+1/4,-x+3/4,z+1/4'
'x+1/2,y+1/2,z+1/2'
'-x+1/2,-y+1/2,-z+1/2'
'-y+3/4,x+1/4,z+3/4'
'y+3/4,-x+1/4,-z+3/4'
'-x,-y+1/2,z'
'x,y+1/2,-z'
'y+3/4,-x+3/4,z+1/4'
'-y+3/4,x+3/4,-z+1/4'
'x+1/2,-y+1/2,-z+1/2'
'-x+1/2,y+1/2,z+1/2'
'-y+3/4,-x+3/4,-z+1/4'
'y+3/4,x+3/4,z+1/4'
'-x,y+1/2,-z'
'x,-y+1/2,z'
'y+3/4,x+1/4,-z+3/4'
'-y+3/4,-x+1/4,z+3/4'
loop_
_atom_site_label
_atom_site_type_symbol
_atom_site_fract_x
_atom_site_fract_y
_atom_site_fract_z
Sr1 Sr 0.0000 0.2500 0.3750
B1 B 0.0000 0.0000 0.0000
As1 As 0.0000 0.2500 0.8750
```

Most intense lines, 5 to 70 degrees two-theta, by angle:
(0 0 4), 2θ = 22.70°, d 3.917, I = 48; (1 1 2), 2θ = 32.35°, d 2.768, I = 100; (2 0 0), 2θ = 43.25°, d 2.092, I = 22; (0 0 8), 2θ = 46.37°, d 1.958, I = 47; (2 0 4), 2θ = 49.39°, d 1.845, I = 30; (2 2 0), 2θ = 62.82°, d 1.479, I = 6; (2 0 8), 2θ = 65.26°, d 1.430, I = 13; (2 2 4), 2θ = 67.69°, d 1.384, I = 25

=====

Structure and simulated powder diffraction line list of TcBAs (a cell relaxed with GGA-PBE; Cu Kα).

Atomic structure:
```
data_TcBAs
_cell_length_a 5.1571
_cell_length_b 3.0288
_cell_length_c 5.5106
_cell_angle_alpha 90.00
_cell_angle_beta 112.71
_cell_angle_gamma 90.00
_space_group_name_H-M_alt 'P 1 2/m 1'
_space_group_IT_number 10
_space_group_name_Hall '-P 2y'
loop_
_atom_site_label
_atom_site_type_symbol
_atom_site_fract_x
_atom_site_fract_y
_atom_site_fract_z
Tc1 Tc 0.2307 0.0000 0.2528
B1 B 0.1161 0.5000 0.9146
As1 As 0.2718 0.0000 0.7262
```

Most intense lines, 5 to 70 degrees two-theta, by angle:
(0 1 0), 2θ = 29.49°, d 3.029, I = 100; (0 0 2), 2θ = 35.31°, d 2.542, I = 62; (2 0 0), 2θ = 37.82°, d 2.379, I = 52; (2 0 -2), 2θ = 40.74°, d 2.215, I = 35; (0 1 2), 2θ = 46.65°, d 1.947, I = 61; (2 1 0), 2θ = 48.67°, d 1.871, I = 51; (2 1 -2), 2θ = 51.09°, d 1.788, I = 41; (0 2 0), 2θ = 61.20°, d 1.514, I = 14

=====

Structure and simulated powder diffraction line list of YB3As (a cell relaxed with GGA-PBE; Cu Kα).

Atomic structure:
```
data_YB3As
_cell_length_a 4.1600
_cell_length_b 4.1600
_cell_length_c 4.1600
_cell_angle_alpha 90.00
_cell_angle_beta 90.00
_cell_angle_gamma 90.00
_space_group_name_H-M_alt 'P m -3 m'
_space_group_IT_number 221
_space_group_name_Hall '-P 4 2 3'
loop_
_atom_site_label
_atom_site_type_symbol
_atom_site_fract_x
_atom_site_fract_y
_atom_site_fract_z
Y1 Y 0.0000 0.0000 0.0000
B1 B 0.0000 0.5000 0.5000
As1 As 0.5000 0.5000 0.5000
```

Most intense lines, 5 to 70 degrees two-theta, by angle:
(1 1 0), 2θ = 30.39°, d 2.942, I = 100; (1 1 1), 2θ = 37.44°, d 2.402, I = 2; (2 0 0), 2θ = 43.51°, d 2.080, I = 26; (2 1 1), 2θ = 53.99°, d 1.698, I = 39; (2 2 0), 2θ = 63.22°, d 1.471, I = 16

=====

Structure and simulated powder diffraction line list of YB2As2 (a cell relaxed with GGA-PBE; Cu Kα).

Atomic structure:
```
data_YB2As2
_cell_length_a 4.2100
_cell_length_b 4.2100
_cell_length_c 8.9559
_cell_angle_alpha 90.00
_cell_angle_beta 90.00
_cell_angle_gamma 90.00
_space_group_name_H-M_alt 'I 4/m m m'
_space_group_IT_number 139
_space_group_name_Hall '-I 4 2'
loop_
_atom_site_label
_atom_site_type_symbol
_atom_site_fract_x
_atom_site_fract_y
_atom_site_fract_z
Y1 Y 0.0000 0.0000 0.0000
B1 B 0.0000 0.5000 0.2500
As1 As 0.0000 0.0000 0.3243
```

Most intense lines, 5 to 70 degrees two-theta, by angle:
(1 0 1), 2θ = 23.35°, d 3.810, I = 3; (1 1 0), 2θ = 30.02°, d 2.977, I = 77; (1 0 3), 2θ = 36.91°, d 2.435, I = 100; (2 0 0), 2θ = 42.97°, d 2.105, I = 37; (2 1 3), 2θ = 57.91°, d 1.593, I = 53; (2 0 4), 2θ = 60.35°, d 1.534, I = 1; (0 0 6), 2θ = 62.19°, d 1.493, I = 4; (2 2 0), 2θ = 62.39°, d 1.488, I = 12

=====

Structure and simulated powder diffraction line list of Zr5B2As (a cell relaxed with GGA-PBE; Cu Kα).

Atomic structure:
```
data_Zr5B2As
_cell_length_a 6.6349
_cell_length_b 6.6349
_cell_length_c 12.4381
_cell_angle_alpha 90.00
_cell_angle_beta 90.00
_cell_angle_gamma 90.00
_space_group_name_H-M_alt 'I 4/m c m'
_space_group_IT_number 140
_space_group_name_Hall '-I 4 2c'
loop_
_atom_site_label
_atom_site_type_symbol
_atom_site_fract_x
_atom_site_fract_y
_atom_site_fract_z
Zr1 Zr 0.0000 0.0000 0.0000
Zr2 Zr 0.1728 0.3272 0.1344
B1 B 0.1035 0.3965 0.5000
As1 As 0.0000 0.0000 0.2500
```

Most intense lines, 5 to 70 degrees two-theta, by angle:
(2 1 1), 2θ = 30.98°, d 2.886, I = 81; (1 1 4), 2θ = 34.61°, d 2.592, I = 59; (2 1 3), 2θ = 37.26°, d 2.413, I = 90; (2 2 0), 2θ = 38.37°, d 2.346, I = 32; (2 0 4), 2θ = 39.73°, d 2.269, I = 100; (3 1 0), 2θ = 43.11°, d 2.098, I = 66; (2 1 7), 2θ = 60.76°, d 1.524, I = 23; (3 3 4), 2θ = 66.98°, d 1.397, I = 39

=====

Structure and simulated powder diffraction line list of BaAs (a cell relaxed with GGA-PBE; Cu Kα).

Atomic structure:
```
data_BaAs
_cell_length_a 6.6932
_cell_length_b 6.6932
_cell_length_c 6.6932
_cell_angle_alpha 90.00
_cell_angle_beta 90.00
_cell_angle_gamma 90.00
_space_group_name_H-M_alt 'P 21 3'
_space_group_IT_number 198
_space_group_name_Hall 'P 2ac 2ab 3'
loop_
_atom_site_label
_atom_site_type_symbol
_atom_site_fract_x
_atom_site_fract_y
_atom_site_fract_z
Ba1 Ba 0.0192 0.0192 0.0192
As1 As 0.0254 0.5254 0.9746
```

Most intense lines, 5 to 70 degrees two-theta, by angle:
(1 1 1), 2θ = 23.02°, d 3.864, I = 14; (2 0 0), 2θ = 26.64°, d 3.347, I = 100; (2 0 1), 2θ = 29.85°, d 2.993, I = 11; (2 2 0), 2θ = 38.03°, d 2.366, I = 72; (2 2 2), 2θ = 47.03°, d 1.932, I = 24; (4 2 0), 2θ = 62.01°, d 1.497, I = 27; (4 2 1), 2θ = 63.72°, d 1.461, I = 10; (4 2 2), 2θ = 68.70°, d 1.366, I = 18

=====

Structure and simulated powder diffraction line list of Ba7As6 (a cell relaxed with GGA-PBE; Cu Kα).

Atomic structure:
```
data_Ba7As6
_cell_length_a 7.6057
_cell_length_b 7.6057
_cell_length_c 31.6049
_cell_angle_alpha 90.00
_cell_angle_beta 90.00
_cell_angle_gamma 120.00
_space_group_name_H-M_alt 'R -3 m'
_space_group_IT_number 166
_space_group_name_Hall '-R 3 2"'
loop_
_atom_site_label
_atom_site_type_symbol
_atom_site_fract_x
_atom_site_fract_y
_atom_site_fract_z
Ba1 Ba 0.0000 0.0000 0.0000
Ba2 Ba 0.0149 0.5075 0.4288
As1 As 0.0000 0.0000 0.1636
As2 As 0.0000 0.0000 0.3328
As3 As 0.0000 0.0000 0.4105
```

Most intense lines, 5 to 70 degrees two-theta, by angle:
(1 0 1), 2θ = 13.73°, d 6.448, I = 38; (0 2 1), 2θ = 27.22°, d 3.276, I = 79; (2 0 2), 2θ = 27.67°, d 3.224, I = 45; (1 1 6), 2θ = 28.96°, d 3.083, I = 75; (2 0 5), 2θ = 30.61°, d 2.921, I = 66; (0 2 7), 2θ = 33.68°, d 2.661, I = 100; (2 0 8), 2θ = 35.49°, d 2.530, I = 45; (2 2 0), 2θ = 47.84°, d 1.901, I = 63

=====

Structure and simulated powder diffraction line list of BaAs2 (a cell relaxed with GGA-PBE; Cu Kα).

Atomic structure:
```
data_BaAs2
_cell_length_a 6.6821
_cell_length_b 12.7400
_cell_length_c 8.2117
_cell_angle_alpha 90.00
_cell_angle_beta 127.91
_cell_angle_gamma 90.00
_space_group_name_H-M_alt 'P 1 c 1'
_space_group_IT_number 7
_space_group_name_Hall 'P -2yc'
loop_
_atom_site_label
_atom_site_type_symbol
_atom_site_fract_x
_atom_site_fract_y
_atom_site_fract_z
Ba1 Ba 0.0000 0.0764 0.0000
Ba2 Ba 0.4491 0.4185 0.7944
Ba3 Ba 0.7228 0.2742 0.4307
As1 As 0.1111 0.3451 0.2875
As2 As 0.1531 0.3423 0.9947
As3 As 0.2791 0.1562 0.7458
As4 As 0.4274 0.1086 0.5376
As5 As 0.5675 0.0785 0.0928
As6 As 0.9012 0.4905 0.7638
```

Most intense lines, 5 to 70 degrees two-theta, by angle:
(0 3 1), 2θ = 25.07°, d 3.552, I = 46; (2 1 -2), 2θ = 28.46°, d 3.137, I = 100; (1 2 1), 2θ = 31.01°, d 2.884, I = 34; (0 4 1), 2θ = 31.29°, d 2.858, I = 26; (1 4 0), 2θ = 32.85°, d 2.726, I = 14; (2 1 -3), 2θ = 34.58°, d 2.594, I = 15; (2 2 -3), 2θ = 36.74°, d 2.446, I = 13; (2 2 0), 2θ = 36.90°, d 2.436, I = 14